The following is a simulated X-ray powder pattern of Ca3Pm2Cd3. It was derived from the PBE geometry in Alexandria, using Cu Kα.
Lines closer than 0.1° are merged.

The 10 most intense peaks (2θ from 10° to 80°), in order of rising 2θ:
two_theta  Rel. int.  h k l
19.8  16  0 1 3
31.1  17  0 0 8
32.5  100  0 2 0
36.1  7  1 0 7
45.5  12  0 2 8
47.7  7  2 0 0
56.2  8  1 1 12
57.9  14  1 3 4
58.9  7  2 2 0
68.1  7  2 2 8

Crystal structure
a b c (Å): 3.8106 5.5218 23.0232
angles (deg): 90.00 90.00 90.00
Space group Immm (No. 71)
Symmetry-distinct sites (fractional):
Ca1 0.0000 0.0000 0.0000
Ca2 0.0000 0.5000 0.1199
Pm1 0.0000 0.0000 0.2327
Cd1 0.0000 0.0000 0.5000
Cd2 0.0000 0.5000 0.3812